Diffraction record for CeGeF5. The powder diffraction line list is simulated, not measured: it uses the PBE geometry in Alexandria and Cu Kα X-rays.
Lines closer than 0.1° are merged.

Structural model:
a b c (Å): 5.9439 6.1732 8.8788
angles (deg): 71.46 70.93 76.14
Atoms (fractional coordinates):
1 Ce 0.0000 0.0000 0.0000
2 Ce 0.0000 0.0000 0.5000
3 Ge 0.4820 0.5230 0.2486
4 Ge 0.5180 0.4770 0.7514
5 F 0.0822 0.9109 0.7517
6 F 0.2316 0.2850 0.3931
7 F 0.2563 0.6713 0.1144
8 F 0.3130 0.7164 0.4001
9 F 0.3183 0.1952 0.8909
10 F 0.6817 0.8048 0.1091
11 F 0.6870 0.2836 0.5999
12 F 0.7437 0.3287 0.8856
13 F 0.7684 0.7150 0.6069
14 F 0.9178 0.0891 0.2483

The 10 most intense peaks (2θ = 10–90°), low angle first:
d_spacing	two_theta	I_rel
4.348	20.4	100.0
3.820	23.3	71.9
3.802	23.4	69.2
3.734	23.8	62.1
2.973	30.1	18.1
2.216	40.7	17.6
2.175	41.5	43.4
1.950	46.6	20.4
1.915	47.5	20.9
1.866	48.8	17.5

Diffraction record for Rb2CeH3F3. The powder diffraction line list is simulated, not measured: it uses the PBE geometry in Alexandria and Cu Kα X-rays.
Lines closer than 0.1° are merged.

Structural model:
a b c (Å): 6.9550 6.9550 3.7208
angles (deg): 90.00 90.00 120.00
Atoms (fractional coordinates):
1 Rb 0.3333 0.6667 0.0000
2 Rb 0.6667 0.3333 0.0000
3 Ce 0.0000 0.0000 0.5000
4 H 0.0000 0.6797 0.5000
5 H 0.3203 0.3203 0.5000
6 H 0.6797 0.0000 0.5000
7 F 0.0000 0.2219 0.0000
8 F 0.2219 0.0000 0.0000
9 F 0.7781 0.7781 0.0000

The 10 most intense peaks (2θ = 10–90°), low angle first:
d_spacing	two_theta	I_rel
6.023	14.7	27.0
3.478	25.6	100.0
3.166	28.2	68.8
2.341	38.5	44.5
2.008	45.2	23.7
1.942	46.8	54.7
1.640	56.1	22.7
1.524	60.8	18.8
1.365	68.8	13.3
1.314	71.8	13.5

Diffraction record for CeHfF7. The powder diffraction line list is simulated, not measured: it uses the PBE geometry in Alexandria and Cu Kα X-rays.
Lines closer than 0.1° are merged.

Structural model:
a b c (Å): 6.2942 5.9358 8.5333
angles (deg): 90.00 102.63 90.00
Atoms (fractional coordinates):
1 Ce 0.1587 0.0000 0.1879
2 Ce 0.8413 0.5000 0.8121
3 Hf 0.3111 0.0089 0.7230
4 Hf 0.6889 0.5089 0.2770
5 F 0.0544 0.6900 0.0213
6 F 0.0731 0.7806 0.7093
7 F 0.1013 0.2681 0.7089
8 F 0.2658 0.0026 0.4833
9 F 0.3560 0.0167 0.9632
10 F 0.4526 0.2734 0.2560
11 F 0.4533 0.7414 0.2687
12 F 0.5467 0.2414 0.7313
13 F 0.5474 0.7734 0.7440
14 F 0.6440 0.5167 0.0368
15 F 0.7342 0.5026 0.5167
16 F 0.8987 0.7681 0.2911
17 F 0.9269 0.2806 0.2907
18 F 0.9456 0.1900 0.9787

The 10 most intense peaks (2θ = 10–90°), low angle first:
d_spacing	two_theta	I_rel
4.268	20.8	100.0
4.163	21.3	38.3
4.057	21.9	15.0
3.584	24.8	14.6
3.236	27.6	29.2
2.968	30.1	13.9
2.778	32.2	15.7
2.147	42.1	15.0
1.995	45.5	14.6
1.977	45.9	13.7

Diffraction record for CeHf2F11. The powder diffraction line list is simulated, not measured: it uses the PBE geometry in Alexandria and Cu Kα X-rays.
Lines closer than 0.1° are merged.

Structural model:
a b c (Å): 8.4552 8.4552 8.4552
angles (deg): 125.14 106.67 97.91
Atoms (fractional coordinates):
1 Ce 0.2500 0.2500 0.0000
2 Ce 0.7500 0.7500 0.0000
3 Hf 0.1806 0.6328 0.8134
4 Hf 0.3194 0.1328 0.4522
5 Hf 0.6806 0.8672 0.5478
6 Hf 0.8194 0.3672 0.1866
7 F 0.0000 0.5000 0.5000
8 F 0.0509 0.9666 0.2886
9 F 0.0516 0.3664 0.1610
10 F 0.1779 0.4666 0.9157
11 F 0.2054 0.8906 0.8390
12 F 0.2197 0.3695 0.5893
13 F 0.2803 0.8695 0.1498
14 F 0.2946 0.1336 0.6852
15 F 0.3221 0.2377 0.2886
16 F 0.4484 0.6094 0.3148
17 F 0.4491 0.7377 0.9157
18 F 0.5000 0.0000 0.5000
19 F 0.5509 0.2623 0.0843
20 F 0.5516 0.3906 0.6852
21 F 0.6779 0.7623 0.7114
22 F 0.7054 0.8664 0.3148
23 F 0.7197 0.1305 0.8502
24 F 0.7803 0.6305 0.4107
25 F 0.7946 0.1094 0.1610
26 F 0.8221 0.5334 0.0843
27 F 0.9484 0.6336 0.8390
28 F 0.9491 0.0334 0.7114

The 10 most intense peaks (2θ = 10–90°), low angle first:
d_spacing	two_theta	I_rel
5.552	16.0	46.0
4.127	21.5	100.0
3.958	22.5	55.5
3.735	23.8	76.7
3.454	25.8	90.5
3.089	28.9	35.0
2.065	43.9	49.2
2.015	45.0	21.3
1.928	47.1	35.1
1.844	49.4	21.6

Diffraction record for Ce2HoF8. The powder diffraction line list is simulated, not measured: it uses the PBE geometry in Alexandria and Cu Kα X-rays.
Lines closer than 0.1° are merged.

Structural model:
a b c (Å): 6.6772 6.6772 7.3201
angles (deg): 115.82 115.82 35.49
Atoms (fractional coordinates):
1 Ce 0.1856 0.1856 0.1909
2 Ce 0.8144 0.8144 0.8091
3 Ho 0.0000 0.0000 0.5000
4 F 0.0161 0.0161 0.8214
5 F 0.1856 0.1856 0.5286
6 F 0.2878 0.2878 0.9386
7 F 0.4019 0.4019 0.3604
8 F 0.5981 0.5981 0.6396
9 F 0.7122 0.7122 0.0614
10 F 0.8144 0.8144 0.4714
11 F 0.9839 0.9839 0.1786

The 10 most intense peaks (2θ = 10–90°), low angle first:
d_spacing	two_theta	I_rel
3.830	23.2	100.0
3.628	24.5	91.8
3.544	25.1	88.4
3.179	28.1	62.4
3.098	28.8	82.0
2.923	30.6	35.8
2.035	44.5	37.8
2.027	44.7	52.0
1.977	45.9	46.1
1.884	48.3	37.3

Diffraction record for NaCeInF6. The powder diffraction line list is simulated, not measured: it uses the PBE geometry in Alexandria and Cu Kα X-rays.
Lines closer than 0.1° are merged.

Structural model:
a b c (Å): 5.5560 5.5560 11.4080
angles (deg): 90.00 90.00 90.00
Atoms (fractional coordinates):
1 Na 0.0000 0.0000 0.0000
2 Na 0.5000 0.5000 0.5000
3 Ce 0.0000 0.0000 0.6640
4 Ce 0.5000 0.5000 0.1640
5 In 0.0000 0.0000 0.3238
6 In 0.5000 0.5000 0.8238
7 F 0.1721 0.1721 0.8160
8 F 0.2046 0.2046 0.5360
9 F 0.2195 0.2195 0.1546
10 F 0.2805 0.7195 0.6546
11 F 0.2954 0.7046 0.0360
12 F 0.3279 0.6721 0.3160
13 F 0.6721 0.3279 0.3160
14 F 0.7046 0.2954 0.0360
15 F 0.7195 0.2805 0.6546
16 F 0.7805 0.7805 0.1546
17 F 0.7954 0.7954 0.5360
18 F 0.8279 0.8279 0.8160

The 10 most intense peaks (2θ = 10–90°), low angle first:
d_spacing	two_theta	I_rel
5.704	15.5	23.0
4.995	17.8	42.4
3.929	22.6	100.0
3.236	27.6	19.3
3.138	28.4	78.1
2.778	32.2	16.3
2.080	43.5	74.0
1.964	46.2	20.7
1.711	53.5	17.8
1.665	55.2	24.3

Diffraction record for CeIrF. The powder diffraction line list is simulated, not measured: it uses the PBE geometry in Alexandria and Cu Kα X-rays.
Lines closer than 0.1° are merged.

Structural model:
a b c (Å): 7.9255 7.2560 6.1809
angles (deg): 71.78 60.42 47.80
Atoms (fractional coordinates):
1 Ce 0.0912 0.6588 0.0912
2 Ce 0.3412 0.9088 0.3412
3 Ce 0.6588 0.0912 0.6588
4 Ce 0.9088 0.3412 0.9088
5 Ir 0.2663 0.2663 0.4837
6 Ir 0.4837 0.4837 0.2663
7 Ir 0.5163 0.5163 0.7337
8 Ir 0.7337 0.7337 0.5163
9 F 0.0096 0.0096 0.2404
10 F 0.2404 0.2404 0.0096
11 F 0.7596 0.7596 0.9904
12 F 0.9904 0.9904 0.7596

The 10 most intense peaks (2θ = 10–90°), low angle first:
d_spacing	two_theta	I_rel
5.373	16.5	51.3
3.857	23.1	17.8
3.402	26.2	18.7
3.207	27.8	48.4
2.919	30.6	53.0
2.459	36.5	32.8
2.294	39.3	22.5
2.151	42.0	100.0
1.909	47.6	20.2
1.872	48.6	19.4

Diffraction record for KCe2F6. The powder diffraction line list is simulated, not measured: it uses the PBE geometry in Alexandria and Cu Kα X-rays.
Lines closer than 0.1° are merged.

Structural model:
a b c (Å): 9.6407 9.6407 9.6407
angles (deg): 155.23 155.23 35.31
Atoms (fractional coordinates):
1 K 0.0000 0.0000 0.0000
2 Ce 0.3341 0.3341 0.0000
3 Ce 0.6659 0.6659 0.0000
4 F 0.0971 0.5971 0.5000
5 F 0.2500 0.7500 0.5000
6 F 0.4029 0.9029 0.5000
7 F 0.5971 0.0971 0.5000
8 F 0.7500 0.2500 0.5000
9 F 0.9029 0.4029 0.5000

The 10 most intense peaks (2θ = 10–90°), low angle first:
d_spacing	two_theta	I_rel
4.034	22.0	14.0
3.427	26.0	100.0
3.062	29.2	7.8
2.924	30.6	12.5
2.115	42.8	45.3
2.067	43.8	22.1
1.831	49.8	16.4
1.770	51.6	29.5
1.370	68.5	12.4
1.202	79.7	12.6